Entry 1:
Starting from DFT lattice parameters and positions (GGA-PBE), the powder XRD pattern of BaSm2Se4 was calculated for λ = 1.5418 Å (Cu Kα).

Peak list (8 most intense, 2θ = 15–90°, sorted by position)
| 2θ (°) | I_rel | h k l |
| --- | --- | --- |
| 23.5 | 86 | 3 0 2 |
| 24.7 | 50 | 1 1 2 |
| 27.9 | 88 | 1 1 3 |
| 29.8 | 54 | 4 0 2 |
| 29.8 | 54 | 3 1 1 |
| 34.1 | 100 | 2 1 4 |
| 34.6 | 53 | 4 1 0 |
| 42.1 | 65 | 0 2 0 |

Structure:
abc: 13.017 4.295 15.441
angles: 90.00 90.00 90.00
Space group Pnma (No. 62)
Symmetry-distinct sites (fractional):
Ba  0.243  0.250  0.163
Sm  0.068  0.250  0.391
Sm  0.080  0.250  0.900
Se  0.024  0.750  0.784
Se  0.083  0.250  0.578
Se  0.129  0.750  0.026
Se  0.207  0.750  0.329

***

Entry 2:
Starting from DFT lattice parameters and positions (GGA-PBE), the powder XRD pattern of Ba2SnSe5 was calculated for λ = 1.5418 Å (Cu Kα).

Peak list (8 most intense, 2θ = 15–90°, sorted by position)
| 2θ (°) | I_rel | h k l |
| --- | --- | --- |
| 21.0 | 13 | 0 2 1 |
| 27.1 | 100 | 2 2 -1 |
| 29.7 | 71 | 1 1 -4 |
| 30.0 | 52 | 1 1 3 |
| 32.1 | 32 | 3 1 0 |
| 33.1 | 33 | 1 3 1 |
| 34.6 | 16 | 3 2 -2 |
| 43.1 | 14 | 2 0 4 |

Structure:
abc: 9.536 9.071 12.773
angles: 90.00 112.76 90.00
Space group P2_1/c (No. 14)
Symmetry-distinct sites (fractional):
Ba  0.037  0.126  0.346
Ba  0.421  0.137  0.176
Sn  0.338  0.707  0.982
Se  0.059  0.240  0.600
Se  0.140  0.576  0.443
Se  0.264  0.627  0.776
Se  0.284  0.508  0.104
Se  0.403  0.178  0.904

***

Entry 3:
Starting from DFT lattice parameters and positions (GGA-PBE), the powder XRD pattern of Ba2SnSe4 was calculated for λ = 1.5418 Å (Cu Kα).

Peak list (8 most intense, 2θ = 15–90°, sorted by position)
| 2θ (°) | I_rel | h k l |
| --- | --- | --- |
| 24.0 | 22 | 1 2 -2 |
| 24.4 | 27 | 1 1 2 |
| 27.9 | 100 | 2 2 -1 |
| 29.9 | 75 | 1 1 -4 |
| 31.2 | 38 | 1 1 3 |
| 35.2 | 17 | 3 1 0 |
| 35.7 | 22 | 1 3 -3 |
| 41.5 | 25 | 1 3 3 |

Structure:
abc: 8.700 9.449 12.600
angles: 90.00 114.04 90.00
Space group P2_1/c (No. 14)
Symmetry-distinct sites (fractional):
Ba  0.034  0.152  0.341
Ba  0.408  0.116  0.157
Sn  0.305  0.687  0.993
Se  0.077  0.627  0.458
Se  0.260  0.617  0.786
Se  0.262  0.021  0.610
Se  0.409  0.189  0.893